[1]
Simulated PXRD pattern of KRbHgS2 for CuKα, from a DFT-relaxed cell (GGA-PBE, Alexandria).
Kinematic intensities with the Lorentz-polarization factor, no thermal factor.

Crystal structure
Lattice parameters (Å, degrees): 9.1427 9.1427 5.4574 90.00 90.00 119.44
Sites, in units of the cell vectors:
K1 0.2500 0.2500 0.0000
K2 0.7500 0.7500 0.0000
Rb1 0.2500 0.7500 0.7285
Rb2 0.7500 0.2500 0.2715
Hg1 0.0000 0.0000 0.5000
Hg2 0.5000 0.5000 0.5000
S1 0.1180 0.8820 0.2423
S2 0.3820 0.6180 0.2423
S3 0.6180 0.3820 0.7577
S4 0.8820 0.1180 0.7577

Largest 10 diffraction maxima, in order of rising 2θ, 2θ = 15–90°:
| 2theta | I/Imax |
| --- | --- |
| 16.2 | 39 |
| 19.3 | 100 |
| 19.8 | 44 |
| 22.5 | 46 |
| 25.3 | 65 |
| 25.4 | 42 |
| 27.7 | 88 |
| 34.1 | 69 |
| 34.8 | 48 |
| 40.1 | 36 |



[2]
Simulated PXRD pattern of KRbTlHg for CuKα, from a DFT-relaxed cell (GGA-PBE, Alexandria).
Kinematic intensities with the Lorentz-polarization factor, no thermal factor.

Crystal structure
Lattice parameters (Å, degrees): 5.4062 5.4062 7.7233 110.64 110.64 60.11
Sites, in units of the cell vectors:
K1 0.0000 0.0000 0.0000
Rb1 0.1985 0.1985 0.5921
Tl1 0.7585 0.7585 0.2733
Hg1 0.4230 0.4230 0.2686

Largest 10 diffraction maxima, in order of rising 2θ, 2θ = 15–90°:
| 2theta | I/Imax |
| --- | --- |
| 20.7 | 33 |
| 25.3 | 23 |
| 25.4 | 63 |
| 28.4 | 40 |
| 28.5 | 20 |
| 33.1 | 100 |
| 35.5 | 77 |
| 38.3 | 20 |
| 42.1 | 36 |
| 51.5 | 36 |



[3]
Simulated PXRD pattern of K2HgRh for CuKα, from a DFT-relaxed cell (GGA-PBE, Alexandria).
Kinematic intensities with the Lorentz-polarization factor, no thermal factor.

Crystal structure
Lattice parameters (Å, degrees): 6.6870 6.6870 5.6917 114.76 114.76 32.02
Sites, in units of the cell vectors:
K1 0.0000 0.0000 0.0000
K2 0.2016 0.2016 0.6975
Hg1 0.4170 0.4170 0.4176
Rh1 0.7476 0.7476 0.2409

Largest 10 diffraction maxima, in order of rising 2θ, 2θ = 15–90°:
| 2theta | I/Imax |
| --- | --- |
| 15.3 | 52 |
| 17.3 | 89 |
| 17.4 | 91 |
| 30.9 | 25 |
| 31.4 | 69 |
| 32.8 | 100 |
| 32.9 | 96 |
| 33.6 | 61 |
| 46.6 | 25 |
| 46.8 | 24 |



[4]
Simulated PXRD pattern of K4Hg2S for CuKα, from a DFT-relaxed cell (GGA-PBE, Alexandria).
Kinematic intensities with the Lorentz-polarization factor, no thermal factor.

Crystal structure
Lattice parameters (Å, degrees): 9.5399 9.5399 9.5399 142.07 142.07 54.72
Sites, in units of the cell vectors:
K1 0.0000 0.5000 0.5000
K2 0.1783 0.1783 0.0000
K3 0.5000 0.0000 0.5000
K4 0.8217 0.8217 0.0000
Hg1 0.3939 0.3939 0.0000
Hg2 0.6061 0.6061 0.0000
S1 0.0000 0.0000 0.0000

Largest 10 diffraction maxima, in order of rising 2θ, 2θ = 15–90°:
| 2theta | I/Imax |
| --- | --- |
| 15.2 | 100 |
| 20.3 | 89 |
| 28.8 | 73 |
| 29.3 | 69 |
| 30.0 | 88 |
| 32.7 | 35 |
| 41.2 | 27 |
| 42.1 | 70 |
| 51.3 | 29 |
| 60.4 | 24 |



[5]
Simulated PXRD pattern of K5HgS3 for CuKα, from a DFT-relaxed cell (GGA-PBE, Alexandria).
Kinematic intensities with the Lorentz-polarization factor, no thermal factor.

Crystal structure
Lattice parameters (Å, degrees): 9.4205 9.4205 10.0640 105.52 105.52 47.03
Sites, in units of the cell vectors:
K1 0.0829 0.5815 0.4101
K2 0.0860 0.5821 0.9230
K3 0.1381 0.8619 0.7500
K4 0.4179 0.9140 0.5770
K5 0.4185 0.9171 0.0899
K6 0.5815 0.0829 0.9101
K7 0.5821 0.0860 0.4230
K8 0.8619 0.1381 0.2500
K9 0.9140 0.4179 0.0770
K10 0.9171 0.4185 0.5899
Hg1 0.3847 0.6153 0.2500
Hg2 0.6153 0.3847 0.7500
S1 0.1728 0.1777 0.3377
S2 0.1777 0.1728 0.8377
S3 0.5000 0.5000 0.0000
S4 0.5000 0.5000 0.5000
S5 0.8223 0.8272 0.1623
S6 0.8272 0.8223 0.6623

Largest 10 diffraction maxima, in order of rising 2θ, 2θ = 15–90°:
| 2theta | I/Imax |
| --- | --- |
| 18.4 | 42 |
| 20.0 | 92 |
| 24.0 | 100 |
| 25.4 | 49 |
| 26.6 | 44 |
| 28.7 | 35 |
| 32.5 | 57 |
| 33.9 | 48 |
| 35.7 | 44 |
| 49.0 | 35 |



[6]
Simulated PXRD pattern of K2HgS6 for CuKα, from a DFT-relaxed cell (GGA-PBE, Alexandria).
Kinematic intensities with the Lorentz-polarization factor, no thermal factor.

Crystal structure
Lattice parameters (Å, degrees): 9.1745 9.1745 3.4203 90.00 90.00 120.06
Sites, in units of the cell vectors:
K1 0.1665 0.8335 0.0000
K2 0.8335 0.1665 0.0000
Hg1 0.5000 0.5000 0.5000
S1 0.1080 0.1080 0.5000
S2 0.1080 0.5002 0.5000
S3 0.5002 0.1080 0.5000
S4 0.4998 0.8920 0.5000
S5 0.8920 0.4998 0.5000
S6 0.8920 0.8920 0.5000

Largest 10 diffraction maxima, in order of rising 2θ, 2θ = 15–90°:
| 2theta | I/Imax |
| --- | --- |
| 19.4 | 65 |
| 22.4 | 89 |
| 26.1 | 32 |
| 28.4 | 61 |
| 29.8 | 30 |
| 33.9 | 78 |
| 34.6 | 100 |
| 40.0 | 65 |
| 43.2 | 29 |
| 57.3 | 48 |



[7]
Simulated PXRD pattern of K3HgS2 for CuKα, from a DFT-relaxed cell (GGA-PBE, Alexandria).
Kinematic intensities with the Lorentz-polarization factor, no thermal factor.

Crystal structure
Lattice parameters (Å, degrees): 8.9684 8.9684 8.9684 131.63 74.38 127.22
Sites, in units of the cell vectors:
K1 0.0214 0.7500 0.2714
K2 0.2500 0.2500 0.0000
K3 0.4786 0.7500 0.7286
K4 0.5214 0.2500 0.2714
K5 0.7500 0.7500 0.0000
K6 0.9786 0.2500 0.7286
Hg1 0.0000 0.5000 0.5000
Hg2 0.5000 0.0000 0.5000
S1 0.1329 0.2243 0.3572
S2 0.3671 0.7243 0.0915
S3 0.6329 0.2757 0.9085
S4 0.8671 0.7757 0.6428

Largest 10 diffraction maxima, in order of rising 2θ, 2θ = 15–90°:
| 2theta | I/Imax |
| --- | --- |
| 22.3 | 41 |
| 24.2 | 41 |
| 24.9 | 34 |
| 25.6 | 57 |
| 26.2 | 100 |
| 31.7 | 99 |
| 35.0 | 66 |
| 35.5 | 55 |
| 43.8 | 32 |
| 51.2 | 29 |



[8]
Simulated PXRD pattern of K5Hg2S4 for CuKα, from a DFT-relaxed cell (GGA-PBE, Alexandria).
Kinematic intensities with the Lorentz-polarization factor, no thermal factor.

Crystal structure
Lattice parameters (Å, degrees): 13.0015 13.0015 7.2978 91.83 91.83 22.07
Sites, in units of the cell vectors:
K1 0.0000 0.0000 0.0000
K2 0.3695 0.3695 0.1694
K3 0.4005 0.4005 0.6796
K4 0.5995 0.5995 0.3204
K5 0.6305 0.6305 0.8306
Hg1 0.2223 0.2223 0.0288
Hg2 0.7777 0.7777 0.9712
S1 0.1226 0.1226 0.0793
S2 0.4805 0.4805 0.3698
S3 0.5195 0.5195 0.6302
S4 0.8774 0.8774 0.9207

Largest 10 diffraction maxima, in order of rising 2θ, 2θ = 15–90°:
| 2theta | I/Imax |
| --- | --- |
| 21.8 | 62 |
| 25.0 | 62 |
| 27.6 | 35 |
| 28.1 | 37 |
| 28.6 | 34 |
| 30.5 | 100 |
| 36.1 | 47 |
| 38.2 | 100 |
| 38.8 | 59 |
| 38.9 | 43 |



[9]
Simulated PXRD pattern of KSiHg2S4 for CuKα, from a DFT-relaxed cell (GGA-PBE, Alexandria).
Kinematic intensities with the Lorentz-polarization factor, no thermal factor.

Crystal structure
Lattice parameters (Å, degrees): 6.5437 6.4230 6.9834 58.25 56.58 65.16
Sites, in units of the cell vectors:
K1 0.0000 0.0000 0.0000
Si1 0.4997 0.4997 0.5003
Hg1 0.2823 0.2823 0.2177
Hg2 0.7823 0.7823 0.7177
S1 0.1684 0.5385 0.8316
S2 0.4488 0.8122 0.1878
S3 0.5385 0.1684 0.4615
S4 0.8122 0.4488 0.5512

Largest 10 diffraction maxima, in order of rising 2θ, 2θ = 15–90°:
| 2theta | I/Imax |
| --- | --- |
| 17.7 | 48 |
| 18.3 | 45 |
| 21.1 | 45 |
| 25.5 | 66 |
| 27.7 | 69 |
| 28.1 | 100 |
| 33.4 | 49 |
| 46.1 | 46 |
| 46.9 | 49 |
| 50.7 | 37 |



[10]
Simulated PXRD pattern of KSrHgS2 for CuKα, from a DFT-relaxed cell (GGA-PBE, Alexandria).
Kinematic intensities with the Lorentz-polarization factor, no thermal factor.

Crystal structure
Lattice parameters (Å, degrees): 6.2315 6.7995 8.0928 90.00 90.00 90.00
Sites, in units of the cell vectors:
K1 0.0000 0.0000 0.2500
K2 0.0000 0.0000 0.7500
Sr1 0.5000 0.5000 0.2500
Sr2 0.5000 0.5000 0.7500
Hg1 0.5000 0.0000 0.0000
Hg2 0.5000 0.0000 0.5000
S1 0.2311 0.3054 0.0000
S2 0.2311 0.6946 0.5000
S3 0.7689 0.3054 0.5000
S4 0.7689 0.6946 0.0000

Largest 10 diffraction maxima, in order of rising 2θ, 2θ = 15–90°:
| 2theta | I/Imax |
| --- | --- |
| 25.6 | 31 |
| 26.2 | 36 |
| 28.7 | 17 |
| 29.4 | 100 |
| 29.9 | 28 |
| 38.8 | 33 |
| 39.2 | 30 |
| 48.3 | 24 |
| 51.2 | 20 |
| 61.0 | 20 |



[11]
Simulated PXRD pattern of KTiHg2S4 for CuKα, from a DFT-relaxed cell (GGA-PBE, Alexandria).
Kinematic intensities with the Lorentz-polarization factor, no thermal factor.

Crystal structure
Lattice parameters (Å, degrees): 6.9606 6.5994 6.7372 62.91 57.58 59.51
Sites, in units of the cell vectors:
K1 0.0000 0.0000 0.0000
Ti1 0.5550 0.5550 0.4450
Hg1 0.2709 0.2709 0.2291
Hg2 0.7709 0.7709 0.7291
S1 0.2406 0.6258 0.3742
S2 0.4847 0.9053 0.5153
S3 0.6258 0.2406 0.7594
S4 0.9053 0.4847 0.0947

Largest 10 diffraction maxima, in order of rising 2θ, 2θ = 15–90°:
| 2theta | I/Imax |
| --- | --- |
| 17.7 | 35 |
| 18.4 | 41 |
| 19.7 | 30 |
| 25.6 | 69 |
| 26.6 | 47 |
| 27.1 | 100 |
| 32.5 | 38 |
| 45.5 | 43 |
| 46.4 | 41 |
| 48.2 | 27 |



[12]
Simulated PXRD pattern of K2ZrHgS4 for CuKα, from a DFT-relaxed cell (GGA-PBE, Alexandria).
Kinematic intensities with the Lorentz-polarization factor, no thermal factor.

Crystal structure
Lattice parameters (Å, degrees): 7.3208 3.8776 7.6999 90.00 111.22 90.00
Sites, in units of the cell vectors:
K1 0.0000 0.0000 0.0000
K2 0.5000 0.5000 0.0000
Zr1 0.0000 0.5000 0.5000
Hg1 0.5000 0.0000 0.5000
S1 0.1979 0.0000 0.7119
S2 0.2502 0.5000 0.3238
S3 0.7498 0.5000 0.6762
S4 0.8021 0.0000 0.2881

Largest 10 diffraction maxima, in order of rising 2θ, 2θ = 15–90°:
| 2theta | I/Imax |
| --- | --- |
| 24.8 | 28 |
| 26.1 | 26 |
| 26.4 | 22 |
| 27.1 | 36 |
| 28.8 | 60 |
| 31.3 | 100 |
| 39.8 | 21 |
| 42.2 | 35 |
| 43.9 | 37 |
| 56.0 | 18 |